Structure and computed PXRD pattern of LiNdTi2O6 (a crystal structure in the Materials Project, relaxed with PBE; Cu Kα, 1.54184 Å).

Main lines, sorted by position (2θ = 5–70°):
2theta	d/Å	I/Imax
11.47	7.716	100
25.57	3.483	40
25.89	3.442	40
32.47	2.757	23
32.63	2.744	44
32.89	2.723	59
34.54	2.597	13
34.92	2.569	24
46.53	1.952	16
47.11	1.929	15
47.28	1.923	15
58.39	1.581	28

Cell and atoms:
```
data_LiNdTi2O6
_space_group_name_H-M_alt 'P 1'
_space_group_IT_number 1
_cell_length_a 5.4446
_cell_length_b 7.7162
_cell_length_c 5.5154
_cell_angle_alpha 90.00
_cell_angle_beta 90.87
_cell_angle_gamma 90.00
loop_
_space_group_symop_operation_xyz
'x,y,z'
loop_
_atom_site_label
_atom_site_type_symbol
_atom_site_fract_x
_atom_site_fract_y
_atom_site_fract_z
_atom_site_occupancy
Li1 Li 0.0000 0.0000 0.0000 1
Li2 Li 0.4450 0.0000 0.2970 1
Nd1 Nd 0.4153 0.5000 0.3806 1
Nd2 Nd 0.9015 0.5000 0.8953 1
Ti1 Ti 0.4154 0.2383 0.8985 1
Ti2 Ti 0.4154 0.7617 0.8985 1
Ti3 Ti 0.9197 0.2313 0.4132 1
Ti4 Ti 0.9197 0.7687 0.4132 1
O1 O 0.1163 0.2254 0.7115 1
O2 O 0.1163 0.7746 0.7115 1
O3 O 0.1816 0.2036 0.2062 1
O4 O 0.1816 0.7964 0.2062 1
O5 O 0.3275 0.5000 0.9448 1
O6 O 0.4821 0.0000 0.9229 1
O7 O 0.6303 0.3044 0.6532 1
O8 O 0.6303 0.6956 0.6532 1
O9 O 0.6712 0.2987 0.1535 1
O10 O 0.6712 0.7013 0.1535 1
O11 O 0.8044 0.0000 0.3958 1
O12 O 0.9807 0.5000 0.4172 1
```